No. 1
Simulated XRD peak list
Compound: Na2CaMn3Si6O18
Radiation: Cu Kα (weighted mean of Kα1 and Kα2)
Structure: a cell relaxed with PBE+U

Crystal structure
a = 6.627 Å, b = 7.247 Å, c = 7.584 Å
α = 80.44°, β = 86.56°, γ = 89.15°
Positions (direct):
Na1 0.000 0.000 0.000
Na2 0.247 0.472 0.164
Ca1 0.476 0.138 0.438
Mn1 0.493 0.664 0.423
Mn2 0.757 0.791 0.743
Mn3 0.774 0.303 0.734
Si1 0.266 0.762 0.783
Si2 0.281 0.329 0.810
Si3 0.481 0.993 0.032
Si4 0.766 0.475 0.125
Si5 0.963 0.146 0.370
Si6 0.979 0.706 0.366
O1 0.053 0.846 0.727
O2 0.058 0.262 0.772
O3 0.176 0.231 0.384
O4 0.201 0.631 0.418
O5 0.260 0.538 0.862
O6 0.329 0.842 0.965
O7 0.347 0.194 0.000
O8 0.456 0.810 0.628
O9 0.478 0.329 0.667
O10 0.513 0.927 0.242
O11 0.559 0.493 0.251
O12 0.684 0.016 0.898
O13 0.740 0.499 0.907
O14 0.783 0.637 0.508
O15 0.796 0.153 0.538
O16 0.856 0.262 0.187
O17 0.929 0.631 0.172
O18 0.972 0.935 0.314

The 10 most intense peaks (2θ from 5° to 70°), in order of falling intensity:
two_theta	d [Å]	I/Imax	hkl
29.4	3.034	100.0	0 2 -1
31.7	2.825	58.6	0 2 2
30.2	2.961	32.6	2 0 -1
28.9	3.092	31.5	2 0 1
50.5	1.807	26.4	0 4 1
28.1	3.173	20.7	1 0 -2
64.8	1.440	19.1	4 2 -1
42.0	2.149	18.5	3 0 1
23.8	3.733	18.0	0 0 2
29.7	3.007	16.6	2 1 0



No. 2
Simulated XRD peak list
Compound: LiV2O3F3
Radiation: Cu Kα (weighted mean of Kα1 and Kα2)
Structure: a cell relaxed with PBE+U

Crystal structure
a = 5.077 Å, b = 5.137 Å, c = 5.262 Å
α = 92.44°, β = 115.47°, γ = 118.50°
Positions (direct):
Li1 0.000 0.000 0.000
V1 0.392 0.675 0.155
V2 0.406 0.205 0.630
O1 0.292 0.444 0.365
O2 0.302 0.331 0.874
O3 0.465 0.036 0.366
F1 0.544 0.947 0.889
F2 0.893 0.841 0.368
F3 0.911 0.579 0.868

The 10 most intense peaks (2θ from 5° to 70°), in order of falling intensity:
two_theta	d [Å]	I/Imax	hkl
23.2	3.830	100.0	1 0 0
24.8	3.588	96.9	-1 1 1
23.7	3.748	95.6	0 1 -1
47.5	1.915	24.1	2 0 0
33.0	2.714	21.6	0 1 1
32.5	2.754	21.4	1 -1 1
55.0	1.670	21.2	-1 2 2
34.3	2.618	20.0	1 0 -2
48.6	1.874	18.9	0 2 -2
52.5	1.744	18.8	2 -1 1



What did the first record say?
Simulated XRD peak list
Compound: Na2CaMn3Si6O18
Radiation: Cu Kα (weighted mean of Kα1 and Kα2)
Structure: a cell relaxed with PBE+U

Crystal structure
a = 6.627 Å, b = 7.247 Å, c = 7.584 Å
α = 80.44°, β = 86.56°, γ = 89.15°
Positions (direct):
Na1 0.000 0.000 0.000
Na2 0.247 0.472 0.164
Ca1 0.476 0.138 0.438
Mn1 0.493 0.664 0.423
Mn2 0.757 0.791 0.743
Mn3 0.774 0.303 0.734
Si1 0.266 0.762 0.783
Si2 0.281 0.329 0.810
Si3 0.481 0.993 0.032
Si4 0.766 0.475 0.125
Si5 0.963 0.146 0.370
Si6 0.979 0.706 0.366
O1 0.053 0.846 0.727
O2 0.058 0.262 0.772
O3 0.176 0.231 0.384
O4 0.201 0.631 0.418
O5 0.260 0.538 0.862
O6 0.329 0.842 0.965
O7 0.347 0.194 0.000
O8 0.456 0.810 0.628
O9 0.478 0.329 0.667
O10 0.513 0.927 0.242
O11 0.559 0.493 0.251
O12 0.684 0.016 0.898
O13 0.740 0.499 0.907
O14 0.783 0.637 0.508
O15 0.796 0.153 0.538
O16 0.856 0.262 0.187
O17 0.929 0.631 0.172
O18 0.972 0.935 0.314

The 10 most intense peaks (2θ from 5° to 70°), in order of falling intensity:
two_theta	d [Å]	I/Imax	hkl
29.4	3.034	100.0	0 2 -1
31.7	2.825	58.6	0 2 2
30.2	2.961	32.6	2 0 -1
28.9	3.092	31.5	2 0 1
50.5	1.807	26.4	0 4 1
28.1	3.173	20.7	1 0 -2
64.8	1.440	19.1	4 2 -1
42.0	2.149	18.5	3 0 1
23.8	3.733	18.0	0 0 2
29.7	3.007	16.6	2 1 0